No. 1
The following is a theoretical XRD peak list of TiNb3V3. It was derived from a crystal structure in Alexandria, relaxed with GGA-PBE, using Cu Kα, 1.54184 Å.

Top 8 peaks for 15 to 90 degrees two-theta, in order of rising 2θ:
| hkl | 2θ/deg | I/Imax |
| --- | --- | --- |
| 2 0 -1 | 34.68 | 25 |
| 1 -3 1 | 38.49 | 100 |
| 2 -1 1 | 39.24 | 85 |
| -2 1 2 | 40.41 | 75 |
| 1 2 0 | 41.27 | 67 |
| 1 2 -3 | 42.29 | 60 |
| 0 0 3 | 43.27 | 51 |
| 3 1 -2 | 58.90 | 23 |

Structure:
Lattice parameters (Å, degrees): 5.4108 7.0992 7.2481 112.30 101.75 106.79
Space group P-1 (No. 2)
One atom of each set of equivalent atoms:
Ti: 0.1669 0.1681 0.3372 (multiplicity 2)
Nb: 0.0671 0.2671 0.7082 (multiplicity 2)
Nb: 0.3340 0.1272 0.9972 (multiplicity 2)
Nb: 0.3687 0.5583 0.2908 (multiplicity 2)
V: 0.1232 0.7119 0.9963 (multiplicity 2)
V: 0.2152 0.6381 0.6467 (multiplicity 2)
V: 0.4285 0.0073 0.6449 (multiplicity 2)

***

No. 2
The following is a theoretical XRD peak list of Ti6Nb2W. It was derived from a crystal structure in Alexandria, relaxed with GGA-PBE, using Cu Kα, 1.54184 Å.

Top 8 peaks for 15 to 90 degrees two-theta, in order of rising 2θ:
| hkl | 2θ/deg | I/Imax |
| --- | --- | --- |
| 0 0 4 | 21.60 | 30 |
| 1 1 2 | 24.31 | 51 |
| 0 2 2 | 25.09 | 25 |
| 2 0 0 | 37.58 | 44 |
| 1 3 0 | 39.17 | 100 |
| 1 1 6 | 39.56 | 95 |
| 0 2 6 | 40.07 | 50 |
| 2 2 6 | 56.10 | 31 |

Structure:
Lattice parameters (Å, degrees): 4.7863 7.8688 16.4567 90.00 90.00 90.00
Space group Ibam (No. 72)
One atom of each set of equivalent atoms:
Ti: 0.0000 0.0000 0.0880 (multiplicity 8)
Ti: 0.0276 0.3305 0.1694 (multiplicity 16)
Nb: 0.0737 0.3330 0.5000 (multiplicity 8)
W: 0.0000 0.0000 0.2500 (multiplicity 4)

***

No. 3
The following is a theoretical XRD peak list of Ti2Nb3W. It was derived from a crystal structure in Alexandria, relaxed with GGA-PBE, using Cu Kα, 1.54184 Å.

Top 8 peaks for 15 to 90 degrees two-theta, in order of rising 2θ:
| hkl | 2θ/deg | I/Imax |
| --- | --- | --- |
| 0 2 1 | 26.97 | 10 |
| 1 3 1 | 38.92 | 100 |
| 2 0 -2 | 39.21 | 49 |
| 4 0 0 | 55.79 | 8 |
| 2 6 -2 | 56.65 | 16 |
| 2 0 2 | 70.26 | 12 |
| 1 3 -3 | 70.82 | 24 |
| 5 3 -3 | 71.00 | 8 |

Structure:
Lattice parameters (Å, degrees): 8.0228 13.8033 4.5902 90.00 124.76 90.00
Space group C2/c (No. 15)
One atom of each set of equivalent atoms:
Ti: 0.0000 0.0847 0.2500 (multiplicity 4)
Ti: 0.0000 0.2446 0.7500 (multiplicity 4)
Nb: 0.2397 0.4197 0.9905 (multiplicity 8)
Nb: 0.2500 0.2500 0.5000 (multiplicity 4)
W: 0.0000 0.4138 0.2500 (multiplicity 4)

***

No. 4
The following is a theoretical XRD peak list of TiNb6W5. It was derived from a crystal structure in Alexandria, relaxed with GGA-PBE, using Cu Kα, 1.54184 Å.

Top 8 peaks for 15 to 90 degrees two-theta, in order of rising 2θ:
| hkl | 2θ/deg | I/Imax |
| --- | --- | --- |
| 0 2 0 | 27.46 | 9 |
| 2 0 0 | 39.20 | 100 |
| 0 0 6 | 39.33 | 20 |
| 2 0 6 | 56.68 | 20 |
| 3 2 3 | 71.00 | 21 |
| 0 4 6 | 71.11 | 7 |
| 1 2 9 | 71.22 | 14 |
| 2 4 6 | 84.31 | 9 |

Structure:
Lattice parameters (Å, degrees): 4.6008 6.5028 13.7465 90.00 90.00 90.00
Space group Immm (No. 71)
One atom of each set of equivalent atoms:
Ti: 0.0000 0.0000 0.0000 (multiplicity 2)
Nb: 0.0000 0.2468 0.5000 (multiplicity 4)
Nb: 0.0000 0.2521 0.1682 (multiplicity 8)
W: 0.0000 0.0000 0.3329 (multiplicity 4)
W: 0.0000 0.5000 0.0000 (multiplicity 2)
W: 0.0000 0.5000 0.3359 (multiplicity 4)

***

No. 5
The following is a theoretical XRD peak list of TiNb5W2. It was derived from a crystal structure in Alexandria, relaxed with GGA-PBE, using Cu Kα, 1.54184 Å.

Top 8 peaks for 15 to 90 degrees two-theta, in order of rising 2θ:
| hkl | 2θ/deg | I/Imax |
| --- | --- | --- |
| 1 1 2 | 30.63 | 9 |
| 1 1 4 | 38.83 | 100 |
| 2 0 0 | 39.17 | 49 |
| 0 0 8 | 55.57 | 9 |
| 2 2 0 | 56.59 | 17 |
| 2 0 8 | 70.08 | 17 |
| 3 1 4 | 70.76 | 33 |
| 2 2 8 | 83.34 | 11 |

Structure:
Lattice parameters (Å, degrees): 4.6000 4.6000 13.2302 90.00 90.00 90.00
Space group I4/mmm (No. 139)
One atom of each set of equivalent atoms:
Ti: 0.0000 0.0000 0.0000 (multiplicity 2)
Nb: 0.0000 0.0000 0.5000 (multiplicity 2)
Nb: 0.0000 0.5000 0.1292 (multiplicity 8)
W: 0.0000 0.0000 0.2483 (multiplicity 4)

***

No. 6
The following is a theoretical XRD peak list of TiNb5W4. It was derived from a crystal structure in Alexandria, relaxed with GGA-PBE, using Cu Kα, 1.54184 Å.

Top 8 peaks for 15 to 90 degrees two-theta, in order of rising 2θ:
| hkl | 2θ/deg | I/Imax |
| --- | --- | --- |
| 1 0 0 | 27.52 | 7 |
| 1 0 5 | 39.16 | 100 |
| 1 1 0 | 39.31 | 50 |
| 0 0 10 | 56.35 | 9 |
| 2 0 0 | 56.80 | 17 |
| 1 1 10 | 70.86 | 17 |
| 2 1 5 | 71.16 | 34 |
| 2 0 10 | 84.17 | 11 |

Structure:
Lattice parameters (Å, degrees): 3.2416 3.2416 16.3265 90.00 90.00 90.00
Space group P4/mmm (No. 123)
One atom of each set of equivalent atoms:
Ti: 0.0000 0.0000 0.0000 (multiplicity 1)
Nb: 0.5000 0.5000 0.1043 (multiplicity 2)
Nb: 0.5000 0.5000 0.3012 (multiplicity 2)
Nb: 0.5000 0.5000 0.5000 (multiplicity 1)
W: 0.0000 0.0000 0.2003 (multiplicity 2)
W: 0.0000 0.0000 0.4007 (multiplicity 2)